1.
Starting from a structure optimized by DFT (GGA-PBE), the powder diffraction line list of TaPd4Rh was computed for Cu Ka.

Lattice parameters (Å, degrees): 4.4732 4.4732 5.3530 90.00 90.00 120.00
Atoms (fractional coordinates):
1 Ta 0.0000 0.0000 0.0000
2 Pd 0.3333 0.6667 0.2514
3 Pd 0.3333 0.6667 0.7486
4 Pd 0.6667 0.3333 0.2514
5 Pd 0.6667 0.3333 0.7486
6 Rh 0.0000 0.0000 0.5000

Largest 6 diffraction maxima, by intensity, 10 to 80 degrees two-theta:
| 2θ/deg | d [Å] | intensity |
| --- | --- | --- |
| 40.32 | 2.237 | 100 |
| 40.99 | 2.202 | 93 |
| 73.76 | 1.285 | 32 |
| 58.85 | 1.569 | 32 |
| 73.31 | 1.291 | 17 |
| 70.35 | 1.338 | 6 |

=====

2.
Starting from a structure optimized by DFT (GGA-PBE), the powder diffraction line list of Ta2PdRh2 was computed for Cu Ka.

Lattice parameters (Å, degrees): 2.8531 4.4952 12.6479 90.00 90.00 90.00
Atoms (fractional coordinates):
1 Ta 0.2500 0.2500 0.0567
2 Ta 0.2500 0.7500 0.3535
3 Ta 0.7500 0.2500 0.6465
4 Ta 0.7500 0.7500 0.9433
5 Pd 0.2500 0.7500 0.7420
6 Pd 0.7500 0.2500 0.2580
7 Rh 0.2500 0.2500 0.4618
8 Rh 0.2500 0.7500 0.1497
9 Rh 0.7500 0.2500 0.8503
10 Rh 0.7500 0.7500 0.5382

Largest 6 diffraction maxima, by intensity, 10 to 80 degrees two-theta:
| 2θ/deg | d [Å] | intensity |
| --- | --- | --- |
| 40.08 | 2.250 | 100 |
| 40.94 | 2.205 | 72 |
| 38.08 | 2.363 | 43 |
| 56.51 | 1.629 | 24 |
| 32.16 | 2.783 | 13 |
| 73.45 | 1.289 | 13 |

=====

3.
Starting from a structure optimized by DFT (GGA-PBE), the powder diffraction line list of Tb6PdRh5 was computed for Cu Ka.

Lattice parameters (Å, degrees): 4.8484 7.0023 7.6669 90.00 108.27 90.00
Atoms (fractional coordinates):
1 Tb 0.0000 0.2465 0.0000
2 Tb 0.0000 0.7535 0.0000
3 Tb 0.3317 0.2491 0.6635
4 Tb 0.3317 0.7509 0.6635
5 Tb 0.6683 0.2491 0.3365
6 Tb 0.6683 0.7509 0.3365
7 Pd 0.5000 0.5000 0.0000
8 Rh 0.1658 0.5000 0.3319
9 Rh 0.1667 0.0000 0.3335
10 Rh 0.5000 0.0000 0.0000
11 Rh 0.8333 0.0000 0.6665
12 Rh 0.8342 0.5000 0.6681

Largest 6 diffraction maxima, by intensity, 10 to 80 degrees two-theta:
| 2θ/deg | d [Å] | intensity |
| --- | --- | --- |
| 36.68 | 2.450 | 100 |
| 37.06 | 2.425 | 49 |
| 65.79 | 1.419 | 18 |
| 66.50 | 1.406 | 17 |
| 66.60 | 1.404 | 17 |
| 52.26 | 1.751 | 9 |

=====

4.
Starting from a structure optimized by DFT (GGA-PBE), the powder diffraction line list of Tb5Pd2Rh2 was computed for Cu Ka.

Lattice parameters (Å, degrees): 10.1172 10.1172 10.1172 58.34 142.06 137.40
Atoms (fractional coordinates):
1 Tb 0.1446 0.0261 0.6185
2 Tb 0.1729 0.0737 0.2466
3 Tb 0.1729 0.4263 0.5992
4 Tb 0.4076 0.5261 0.3815
5 Tb 0.4750 0.7939 0.9909
6 Tb 0.4750 0.9841 0.1811
7 Tb 0.8029 0.2939 0.8189
8 Tb 0.8029 0.4841 0.0091
9 Tb 0.8271 0.5737 0.4008
10 Tb 0.8271 0.9263 0.7534
11 Pd 0.2591 0.4028 0.9974
12 Pd 0.2591 0.7617 0.3562
13 Pd 0.4054 0.2617 0.0026
14 Pd 0.4054 0.9028 0.6438
15 Rh 0.7039 0.2039 0.5000
16 Rh 0.7039 0.7039 0.0000
17 Rh 0.9074 0.1820 0.2254
18 Rh 0.9566 0.6820 0.7746

Largest 6 diffraction maxima, by intensity, 10 to 80 degrees two-theta:
| 2θ/deg | d [Å] | intensity |
| --- | --- | --- |
| 39.22 | 2.297 | 100 |
| 31.74 | 2.819 | 100 |
| 33.51 | 2.674 | 86 |
| 35.57 | 2.524 | 70 |
| 28.68 | 3.113 | 61 |
| 30.20 | 2.959 | 61 |

=====

5.
Starting from a structure optimized by DFT (GGA-PBE), the powder diffraction line list of Ti5TcPd2Rh2 was computed for Cu Ka.

Lattice parameters (Å, degrees): 10.5178 10.5178 2.9911 90.00 90.00 90.00
Atoms (fractional coordinates):
1 Ti 0.0000 0.5000 0.0000
2 Ti 0.1230 0.1610 0.0000
3 Ti 0.1610 0.8770 0.0000
4 Ti 0.3390 0.3770 0.0000
5 Ti 0.3770 0.6610 0.0000
6 Ti 0.5000 0.0000 0.0000
7 Ti 0.6230 0.3390 0.0000
8 Ti 0.6610 0.6230 0.0000
9 Ti 0.8390 0.1230 0.0000
10 Ti 0.8770 0.8390 0.0000
11 Tc 0.0000 0.0000 0.5000
12 Tc 0.5000 0.5000 0.5000
13 Pd 0.1556 0.6556 0.5000
14 Pd 0.3444 0.1556 0.5000
15 Pd 0.6556 0.8444 0.5000
16 Pd 0.8444 0.3444 0.5000
17 Rh 0.1406 0.3594 0.5000
18 Rh 0.3594 0.8594 0.5000
19 Rh 0.6407 0.1406 0.5000
20 Rh 0.8594 0.6407 0.5000

Largest 6 diffraction maxima, by intensity, 10 to 80 degrees two-theta:
| 2θ/deg | d [Å] | intensity |
| --- | --- | --- |
| 40.56 | 2.224 | 100 |
| 75.88 | 1.254 | 24 |
| 26.80 | 3.326 | 23 |
| 34.10 | 2.629 | 22 |
| 38.27 | 2.352 | 20 |
| 48.99 | 1.859 | 19 |

=====

6.
Starting from a structure optimized by DFT (GGA-PBE), the powder diffraction line list of Te6PdRh3 was computed for Cu Ka.

Lattice parameters (Å, degrees): 7.0624 7.0624 7.0624 58.33 58.33 58.33
Atoms (fractional coordinates):
1 Te 0.0002 0.6948 0.3050
2 Te 0.2027 0.4925 0.7997
3 Te 0.3050 0.0002 0.6948
4 Te 0.4925 0.7997 0.2027
5 Te 0.6948 0.3050 0.0002
6 Te 0.7997 0.2027 0.4925
7 Pd 0.8966 0.8966 0.8966
8 Rh 0.0992 0.0992 0.0992
9 Rh 0.3977 0.3977 0.3977
10 Rh 0.6012 0.6012 0.6012

Largest 6 diffraction maxima, by intensity, 10 to 80 degrees two-theta:
| 2θ/deg | d [Å] | intensity |
| --- | --- | --- |
| 30.14 | 2.965 | 100 |
| 40.52 | 2.226 | 54 |
| 45.65 | 1.987 | 48 |
| 18.00 | 4.928 | 21 |
| 36.47 | 2.464 | 20 |
| 54.14 | 1.694 | 19 |

=====

7.
Starting from a structure optimized by DFT (GGA-PBE), the powder diffraction line list of Te6PdRh2 was computed for Cu Ka.

Lattice parameters (Å, degrees): 6.9744 6.9744 5.3026 90.00 90.00 120.00
Atoms (fractional coordinates):
1 Te 0.0000 0.3409 0.2555
2 Te 0.0000 0.6591 0.7445
3 Te 0.3409 0.0000 0.2555
4 Te 0.3409 0.3409 0.7445
5 Te 0.6591 0.0000 0.7445
6 Te 0.6591 0.6591 0.2555
7 Pd 0.0000 0.0000 0.0000
8 Rh 0.3333 0.6667 0.0000
9 Rh 0.6667 0.3333 0.0000

Largest 6 diffraction maxima, by intensity, 10 to 80 degrees two-theta:
| 2θ/deg | d [Å] | intensity |
| --- | --- | --- |
| 30.69 | 2.914 | 100 |
| 45.03 | 2.013 | 37 |
| 42.85 | 2.111 | 36 |
| 55.48 | 1.656 | 18 |
| 74.13 | 1.279 | 15 |
| 58.55 | 1.577 | 15 |

=====

8.
Starting from a structure optimized by DFT (GGA-PBE), the powder diffraction line list of Te6Pd2Rh was computed for Cu Ka.

Lattice parameters (Å, degrees): 5.2747 7.0923 12.0830 90.00 90.00 90.00
Atoms (fractional coordinates):
1 Te 0.2260 0.1825 0.1517
2 Te 0.2260 0.1825 0.8483
3 Te 0.2355 0.6778 0.0000
4 Te 0.2645 0.1778 0.5000
5 Te 0.2740 0.6825 0.3483
6 Te 0.2740 0.6825 0.6517
7 Te 0.7260 0.3175 0.3483
8 Te 0.7260 0.3175 0.6517
9 Te 0.7355 0.8222 0.5000
10 Te 0.7645 0.3222 0.0000
11 Te 0.7740 0.8175 0.1517
12 Te 0.7740 0.8175 0.8483
13 Pd 0.0000 0.0000 0.3258
14 Pd 0.0000 0.0000 0.6742
15 Pd 0.5000 0.5000 0.1742
16 Pd 0.5000 0.5000 0.8258
17 Rh 0.0000 0.5000 0.5000
18 Rh 0.5000 0.0000 0.0000

Largest 6 diffraction maxima, by intensity, 10 to 80 degrees two-theta:
| 2θ/deg | d [Å] | intensity |
| --- | --- | --- |
| 30.64 | 2.918 | 100 |
| 44.43 | 2.039 | 44 |
| 30.37 | 2.943 | 38 |
| 42.93 | 2.107 | 36 |
| 42.73 | 2.116 | 29 |
| 25.70 | 3.466 | 24 |